No. 1
# BaTlRh2
Computed powder diffractogram, Cu Kα. Input: a DFT-relaxed cell (GGA-PBE, Alexandria).
No peak broadening, texture or thermal motion is included.

Crystal structure
a = 4.7355 Å, b = 4.7355 Å, c = 16.5990 Å
α = 90.00°, β = 90.00°, γ = 120.00°
Space group R-3m (No. 166, hexagonal axes)
Symmetry-distinct sites (fractional):
Ba  0.0000  0.0000  0.0000 x3
Tl  0.0000  0.0000  0.5000 x3
Rh  0.0000  0.0000  0.1819 x6

Most intense lines, 2θ = 10–90°, sorted by position:
16.02 deg, intensity 71.2, hkl 0 0 3
24.21 deg, intensity 39.5, hkl 0 1 2
30.65 deg, intensity 54.9, hkl 1 0 4
32.36 deg, intensity 45.3, hkl 0 0 6
38.00 deg, intensity 100.0, hkl 1 1 0
41.48 deg, intensity 39.2, hkl 1 1 3
50.75 deg, intensity 76.4, hkl 1 1 6
77.96 deg, intensity 21.7, hkl 3 0 6

***

No. 2
# MnGaSiRhSe
Computed powder diffractogram, Cu Kα. Input: a DFT-relaxed cell (GGA-PBE, Alexandria).
No peak broadening, texture or thermal motion is included.

Crystal structure
a = 2.9570 Å, b = 4.6555 Å, c = 6.2418 Å
α = 74.45°, β = 76.46°, γ = 71.54°
Space group P1 (No. 1)
Symmetry-distinct sites (fractional):
Mn  0.0000  0.0000  0.0000 x1
Ga  0.3084  0.4580  0.9253 x1
Si  0.5042  0.7151  0.2783 x1
Rh  0.1964  0.2637  0.3450 x1
Se  0.6759  0.9485  0.6940 x1

Most intense lines, 2θ = 10–90°, sorted by position:
22.78 deg, intensity 50.8, hkl 0 1 1
32.84 deg, intensity 30.7, hkl 0 1 2
33.41 deg, intensity 30.8, hkl 1 1 0
40.76 deg, intensity 100.0, hkl 1 0 2
41.39 deg, intensity 32.8, hkl 0 2 1
43.38 deg, intensity 88.2, hkl 1 2 1
45.89 deg, intensity 30.4, hkl 0 0 3
47.77 deg, intensity 33.3, hkl 0 2 -1

***

No. 3
# CaHo4TmTe8
Computed powder diffractogram, Cu Kα. Input: a DFT-relaxed cell (GGA-PBE, Alexandria).
No peak broadening, texture or thermal motion is included.

Crystal structure
a = 9.0556 Å, b = 9.0556 Å, c = 22.1651 Å
α = 90.00°, β = 90.00°, γ = 120.00°
Space group R3m (No. 160, hexagonal axes)
Symmetry-distinct sites (fractional):
Ca  0.0000  0.0000  0.0000 x3
Ho  0.0000  0.0000  0.2497 x3
Ho  0.1694  0.3388  0.4576 x9
Tm  0.0000  0.0000  0.6273 x3
Te  0.0000  0.0000  0.3827 x3
Te  0.0000  0.0000  0.8651 x3
Te  0.0273  0.5136  0.3777 x9
Te  0.1782  0.3564  0.2064 x9

Most intense lines, 2θ = 10–90°, sorted by position:
11.97 deg, intensity 28.5, hkl 1 0 1
23.04 deg, intensity 52.2, hkl 0 1 5
27.87 deg, intensity 80.6, hkl 0 2 4
36.46 deg, intensity 37.6, hkl 1 2 5
39.83 deg, intensity 100.0, hkl 2 0 8
49.31 deg, intensity 20.7, hkl 0 0 12
65.17 deg, intensity 24.8, hkl 2 2 12
72.31 deg, intensity 30.4, hkl 0 2 16

***

No. 4
# Sm6Er5In
Computed powder diffractogram, Cu Kα. Input: a DFT-relaxed cell (GGA-PBE, Alexandria).
No peak broadening, texture or thermal motion is included.

Crystal structure
a = 4.9989 Å, b = 9.9173 Å, c = 15.1286 Å
α = 90.00°, β = 90.00°, γ = 90.00°
Space group Immm (No. 71)
Symmetry-distinct sites (fractional):
Sm  0.0000  0.2455  0.0000 x4
Sm  0.0000  0.2538  0.3338 x8
Er  0.0000  0.0000  0.1670 x4
Er  0.0000  0.0000  0.5000 x2
Er  0.0000  0.5000  0.1643 x4
In  0.0000  0.5000  0.5000 x2

Most intense lines, 2θ = 10–90°, sorted by position:
30.98 deg, intensity 100.0, hkl 1 2 3
35.61 deg, intensity 17.2, hkl 0 0 6
35.93 deg, intensity 16.8, hkl 2 0 0
36.23 deg, intensity 16.4, hkl 0 4 0
61.09 deg, intensity 14.4, hkl 1 2 9
61.52 deg, intensity 14.2, hkl 3 2 3
61.93 deg, intensity 13.7, hkl 1 6 3
64.57 deg, intensity 12.2, hkl 2 4 6

***

No. 5
# KNa2Pb2Br7
Computed powder diffractogram, Cu Kα. Input: a DFT-relaxed cell (GGA-PBE, Alexandria).
No peak broadening, texture or thermal motion is included.

Crystal structure
a = 6.0659 Å, b = 24.3624 Å, c = 6.0557 Å
α = 90.00°, β = 90.00°, γ = 90.00°
Space group Imm2 (No. 44)
Symmetry-distinct sites (fractional):
K  0.0000  0.0000  0.0000 x2
Na  0.0000  0.2496  0.6927 x4
Pb  0.0000  0.3768  0.1847 x4
Br  0.0000  0.1217  0.7034 x4
Br  0.0000  0.2534  0.1929 x4
Br  0.0000  0.3736  0.6891 x4
Br  0.0000  0.5000  0.2545 x2

Most intense lines, 2θ = 10–90°, sorted by position:
14.54 deg, intensity 34.4, hkl 0 4 0
15.06 deg, intensity 100.0, hkl 0 1 1
29.33 deg, intensity 49.4, hkl 0 8 0
29.47 deg, intensity 90.1, hkl 2 0 0
33.26 deg, intensity 34.9, hkl 1 1 2
42.06 deg, intensity 67.2, hkl 2 8 0
42.18 deg, intensity 35.9, hkl 2 0 2
52.20 deg, intensity 32.3, hkl 2 8 2

***

No. 6
# TbPm2NdSm6
Computed powder diffractogram, Cu Kα. Input: a DFT-relaxed cell (GGA-PBE, Alexandria).
No peak broadening, texture or thermal motion is included.

Crystal structure
a = 9.1577 Å, b = 15.2983 Å, c = 9.8965 Å
α = 90.00°, β = 99.15°, γ = 90.00°
Space group C2/c (No. 15)
Symmetry-distinct sites (fractional):
Tb  0.0000  0.0192  0.2500 x4
Pm  0.2407  0.0509  0.5416 x8
Nd  0.0000  0.4056  0.7500 x4
Sm  0.0658  0.1865  0.9437 x8
Sm  0.1034  0.3966  0.1215 x8
Sm  0.2000  0.2237  0.3141 x8

Most intense lines, 2θ = 10–90°, sorted by position:
28.19 deg, intensity 65.8, hkl 1 3 2
29.82 deg, intensity 62.3, hkl 0 2 3
30.18 deg, intensity 86.7, hkl 3 1 -1
30.85 deg, intensity 72.1, hkl 1 5 0
31.05 deg, intensity 55.0, hkl 2 4 -1
31.28 deg, intensity 100.0, hkl 2 2 2
31.75 deg, intensity 30.6, hkl 1 5 -1
32.82 deg, intensity 88.4, hkl 1 3 -3

***

No. 7
# NdY3Se4
Computed powder diffractogram, Cu Kα. Input: a DFT-relaxed cell (GGA-PBE, Alexandria).
No peak broadening, texture or thermal motion is included.

Crystal structure
a = 5.8374 Å, b = 5.8374 Å, c = 5.8374 Å
α = 90.00°, β = 90.00°, γ = 90.00°
Space group Pm-3m (No. 221)
Symmetry-distinct sites (fractional):
Nd  0.0000  0.0000  0.0000 x1
Y  0.0000  0.5000  0.5000 x3
Se  0.0000  0.0000  0.5000 x3
Se  0.5000  0.5000  0.5000 x1

Most intense lines, 2θ = 10–90°, sorted by position:
15.18 deg, intensity 2.6, hkl 1 0 0
26.45 deg, intensity 3.4, hkl 1 1 1
30.63 deg, intensity 100.0, hkl 2 0 0
43.87 deg, intensity 73.1, hkl 2 2 0
54.45 deg, intensity 25.5, hkl 2 2 2
63.78 deg, intensity 11.8, hkl 4 0 0
72.40 deg, intensity 32.2, hkl 4 2 0
80.63 deg, intensity 24.1, hkl 4 2 2

***

No. 8
# Dy2ErThBi5
Computed powder diffractogram, Cu Kα. Input: a DFT-relaxed cell (GGA-PBE, Alexandria).
No peak broadening, texture or thermal motion is included.

Crystal structure
a = 5.7270 Å, b = 5.7270 Å, c = 11.8788 Å
α = 90.00°, β = 90.00°, γ = 90.00°
Space group P4/mmm (No. 123)
Symmetry-distinct sites (fractional):
Dy  0.0000  0.0000  0.2307 x2
Er  0.5000  0.5000  0.5000 x1
Th  0.5000  0.5000  0.0000 x1
Bi  0.0000  0.0000  0.5000 x1
Bi  0.0000  0.5000  0.0000 x2
Bi  0.5000  0.5000  0.2591 x2

Most intense lines, 2θ = 10–90°, sorted by position:
21.95 deg, intensity 66.1, hkl 1 1 0
23.21 deg, intensity 41.0, hkl 1 1 1
30.09 deg, intensity 52.0, hkl 0 0 4
31.24 deg, intensity 100.0, hkl 2 0 0
37.56 deg, intensity 30.5, hkl 1 1 4
43.92 deg, intensity 75.7, hkl 2 0 4
44.76 deg, intensity 38.0, hkl 2 2 0
54.88 deg, intensity 39.8, hkl 2 2 4